# 1
This entry pairs a crystal structure of ZrCl3 with its computed powder XRD pattern. Radiation: Cu Kα (weighted mean of Kα1 and Kα2). Structure: a DFT-relaxed cell (PBE, the Materials Project).

Most intense lines, 10° ≤ 2θ ≤ 90°, low angle first:
d = 6.618 Å, rel. 89
d = 5.421 Å, rel. 33
d = 4.194 Å, rel. 34
d = 2.829 Å, rel. 100
d = 2.274 Å, rel. 62
d = 1.807 Å, rel. 27
d = 1.803 Å, rel. 27
d = 1.743 Å, rel. 20
d = 1.415 Å, rel. 13
d = 1.220 Å, rel. 15

Atomic structure:
```
data_ZrCl3
_chemical_formula_sum 'Zr2 Cl6'
_symmetry_space_group_name_H-M 'P -3 1 m'
_symmetry_Int_Tables_number 162
_symmetry_space_group_name_Hall '-P 3 2'
_cell_length_a 6.2595
_cell_length_b 6.2595
_cell_length_c 6.6182
_cell_angle_alpha 90.00
_cell_angle_beta 90.00
_cell_angle_gamma 120.00
loop_
_atom_site_label
_atom_site_fract_x
_atom_site_fract_y
_atom_site_fract_z
Zr1 0.3333 0.6667 0.0000
Cl1 0.0000 0.3375 0.2284
```



# 2
This entry pairs a crystal structure of Co with its computed powder XRD pattern. Radiation: Cu Kα (weighted mean of Kα1 and Kα2). Structure: a DFT-relaxed cell (PBE, the Materials Project).

Most intense lines, 10° ≤ 2θ ≤ 90°, low angle first:
d = 4.063 Å, rel. 1
d = 2.154 Å, rel. 25
d = 2.032 Å, rel. 27
d = 1.903 Å, rel. 100
d = 1.478 Å, rel. 14
d = 1.244 Å, rel. 15
d = 1.147 Å, rel. 16

Atomic structure:
```
data_Co
_chemical_formula_sum 'Co2'
_symmetry_space_group_name_H-M 'P -3 m 1'
_symmetry_Int_Tables_number 164
_symmetry_space_group_name_Hall '-P 3 2"'
_cell_length_a 2.4874
_cell_length_b 2.4874
_cell_length_c 4.0633
_cell_angle_alpha 90.00
_cell_angle_beta 90.00
_cell_angle_gamma 120.00
loop_
_atom_site_label
_atom_site_fract_x
_atom_site_fract_y
_atom_site_fract_z
Co1 0.3333 0.6667 0.2401
```



# 3
This entry pairs a crystal structure of Co with its computed powder XRD pattern. Radiation: Cu Kα (weighted mean of Kα1 and Kα2). Structure: a DFT-relaxed cell (PBE, the Materials Project).

Most intense lines, 10° ≤ 2θ ≤ 90°, low angle first:
d = 2.166 Å, rel. 25
d = 2.017 Å, rel. 27
d = 1.908 Å, rel. 100
d = 1.476 Å, rel. 13
d = 1.250 Å, rel. 15
d = 1.142 Å, rel. 16

Atomic structure:
```
data_Co
_chemical_formula_sum 'Co2'
_symmetry_space_group_name_H-M 'P 63/m m c'
_symmetry_Int_Tables_number 194
_symmetry_space_group_name_Hall '-P 6c 2c'
_cell_length_a 2.5008
_cell_length_b 2.5008
_cell_length_c 4.0333
_cell_angle_alpha 90.00
_cell_angle_beta 90.00
_cell_angle_gamma 120.00
loop_
_atom_site_label
_atom_site_fract_x
_atom_site_fract_y
_atom_site_fract_z
Co1 0.3333 0.6667 0.2500
```



# 4
This entry pairs a crystal structure of Co with its computed powder XRD pattern. Radiation: Cu Kα (weighted mean of Kα1 and Kα2). Structure: a DFT-relaxed cell (PBE, the Materials Project).

Most intense lines, 10° ≤ 2θ ≤ 90°, low angle first:
d = 1.983 Å, rel. 100
d = 1.402 Å, rel. 15
d = 1.145 Å, rel. 29

Atomic structure:
```
data_Co
_chemical_formula_sum 'Co2'
_symmetry_space_group_name_H-M 'I m -3 m'
_symmetry_Int_Tables_number 229
_symmetry_space_group_name_Hall '-I 4 2 3'
_cell_length_a 2.8046
_cell_length_b 2.8046
_cell_length_c 2.8046
_cell_angle_alpha 90.00
_cell_angle_beta 90.00
_cell_angle_gamma 90.00
loop_
_atom_site_label
_atom_site_fract_x
_atom_site_fract_y
_atom_site_fract_z
Co1 0.0000 0.0000 0.0000
```



# 5
This entry pairs a crystal structure of Co with its computed powder XRD pattern. Radiation: Cu Kα (weighted mean of Kα1 and Kα2). Structure: a DFT-relaxed cell (PBE, the Materials Project).

Most intense lines, 10° ≤ 2θ ≤ 90°, low angle first:
d = 3.769 Å, rel. 6
d = 2.308 Å, rel. 28
d = 1.968 Å, rel. 100
d = 1.884 Å, rel. 40
d = 1.632 Å, rel. 4
d = 1.498 Å, rel. 1
d = 1.333 Å, rel. 9
d = 1.256 Å, rel. 27
d = 1.154 Å, rel. 23
d = 1.103 Å, rel. 1

Atomic structure:
Lattice parameters (Å, degrees): 6.5280 6.5280 6.5280 90.00 90.00 90.00
Space group Fd-3m (No. 227, origin choice 2)
Asymmetric unit:
1 Co 0.0000 0.0000 0.0000 x16
2 Co 0.1250 0.1250 0.6250 x8



# 6
This entry pairs a crystal structure of Co with its computed powder XRD pattern. Radiation: Cu Kα (weighted mean of Kα1 and Kα2). Structure: a DFT-relaxed cell (PBE, the Materials Project).

Most intense lines, 10° ≤ 2θ ≤ 90°, low angle first:
d = 2.033 Å, rel. 100
d = 1.761 Å, rel. 46
d = 1.245 Å, rel. 26

Atomic structure:
```
data_Co
_chemical_formula_sum 'Co4'
_symmetry_space_group_name_H-M 'F m -3 m'
_symmetry_Int_Tables_number 225
_symmetry_space_group_name_Hall '-F 4 2 3'
_cell_length_a 3.5211
_cell_length_b 3.5211
_cell_length_c 3.5211
_cell_angle_alpha 90.00
_cell_angle_beta 90.00
_cell_angle_gamma 90.00
loop_
_atom_site_label
_atom_site_fract_x
_atom_site_fract_y
_atom_site_fract_z
Co1 0.0000 0.0000 0.0000
```



# 7
This entry pairs a crystal structure of Co with its computed powder XRD pattern. Radiation: Cu Kα (weighted mean of Kα1 and Kα2). Structure: a DFT-relaxed cell (PBE, the Materials Project).

Most intense lines, 10° ≤ 2θ ≤ 90°, low angle first:
d = 2.278 Å, rel. 23
d = 2.068 Å, rel. 19
d = 2.029 Å, rel. 100
d = 2.000 Å, rel. 37
d = 1.972 Å, rel. 34
d = 1.946 Å, rel. 83
d = 1.854 Å, rel. 94
d = 1.810 Å, rel. 50
d = 1.805 Å, rel. 34
d = 1.216 Å, rel. 21

Atomic structure:
```
data_Co
_chemical_formula_sum 'Co28'
_symmetry_space_group_name_H-M 'P 42/m n m'
_symmetry_Int_Tables_number 136
_symmetry_space_group_name_Hall '-P 4n 2n'
_cell_length_a 8.3670
_cell_length_b 8.3670
_cell_length_c 4.5555
_cell_angle_alpha 90.00
_cell_angle_beta 90.00
_cell_angle_gamma 90.00
loop_
_atom_site_label
_atom_site_fract_x
_atom_site_fract_y
_atom_site_fract_z
Co1 0.0267 0.3620 0.0000
Co2 0.0556 0.2483 0.5000
Co3 0.0940 0.0940 0.0000
Co4 0.1863 0.8137 0.2496
```



# 8
This entry pairs a crystal structure of Co with its computed powder XRD pattern. Radiation: Cu Kα (weighted mean of Kα1 and Kα2). Structure: a DFT-relaxed cell (PBE, the Materials Project).

Most intense lines, 10° ≤ 2θ ≤ 90°, low angle first:
d = 2.160 Å, rel. 8
d = 2.087 Å, rel. 45
d = 2.021 Å, rel. 36
d = 1.905 Å, rel. 100
d = 1.686 Å, rel. 22
d = 1.476 Å, rel. 4
d = 1.295 Å, rel. 8
d = 1.247 Å, rel. 19
d = 1.143 Å, rel. 16

Atomic structure:
```
data_Co
_chemical_formula_sum 'Co4'
_symmetry_space_group_name_H-M 'P 63/m m c'
_symmetry_Int_Tables_number 194
_symmetry_space_group_name_Hall '-P 6c 2c'
_cell_length_a 2.4942
_cell_length_b 2.4942
_cell_length_c 8.0859
_cell_angle_alpha 90.00
_cell_angle_beta 90.00
_cell_angle_gamma 120.00
loop_
_atom_site_label
_atom_site_fract_x
_atom_site_fract_y
_atom_site_fract_z
Co1 0.0000 0.0000 0.0000
Co2 0.3333 0.6667 0.2500
```



> Number 3 is which compound?

Co